Structure and simulated XRD peak list of MnSiP2 (a crystal structure in the Materials Project, relaxed with PBE; copper Kα).

Most intense lines, 2θ from 5° to 70°, in order of rising 2θ:
d_spacing, I_rel
4.903, 4.7
3.136, 100.0
2.943, 4.6
2.780, 2.0
2.418, 6.1
1.966, 22.3
1.899, 40.7
1.824, 2.0
1.666, 26.1
1.587, 11.5
1.409, 1.7
1.390, 6.5

Cell and atoms:
```
data_MnSiP2
_symmetry_space_group_name_H-M 'I -4 2 d'
_symmetry_Int_Tables_number 122
_symmetry_space_group_name_Hall 'I -4 2bw'
_cell_length_a 5.5596
_cell_length_b 5.5596
_cell_length_c 10.4045
_cell_angle_alpha 90.00
_cell_angle_beta 90.00
_cell_angle_gamma 90.00
loop_
_atom_site_label
_atom_site_type_symbol
_atom_site_fract_x
_atom_site_fract_y
_atom_site_fract_z
_atom_site_occupancy
Mn1 Mn 0.0000 0.0000 0.0000 1
Si1 Si 0.0000 0.0000 0.5000 1
P1 P 0.2230 0.7500 0.6250 1
```

Structure and simulated XRD peak list of Pr4NiS7 (a crystal structure in the Materials Project, relaxed with PBE; copper Kα).

Most intense lines, 2θ from 5° to 70°, in order of rising 2θ:
d_spacing, I_rel
4.028, 16.3
3.655, 100.0
3.367, 18.9
2.956, 12.8
2.663, 60.1
2.513, 36.5
2.353, 14.2
2.273, 16.4
2.071, 12.8
2.014, 13.5
1.995, 29.6
1.828, 22.2

Cell and atoms:
```
data_Pr4NiS7
_symmetry_space_group_name_H-M 'P 63'
_symmetry_Int_Tables_number 173
_cell_length_a 10.0515
_cell_length_b 10.0515
_cell_length_c 6.7335
_cell_angle_alpha 90.00
_cell_angle_beta 90.00
_cell_angle_gamma 120.00
loop_
_symmetry_equiv_pos_as_xyz
'x,y,z'
'x-y,x,z+1/2'
'-y,x-y,z'
'-x,-y,z+1/2'
'-x+y,-x,z'
'y,-x+y,z+1/2'
loop_
_atom_site_label
_atom_site_type_symbol
_atom_site_fract_x
_atom_site_fract_y
_atom_site_fract_z
_atom_site_occupancy
Pr1 Pr 0.1424 0.7723 0.0000 1
Pr2 Pr 0.3333 0.6667 0.5429 1
Ni1 Ni 0.0000 0.0000 0.2056 1
S1 S 0.0709 0.5002 0.7543 1
S2 S 0.0876 0.8671 0.4234 1
S3 S 0.3333 0.6667 0.1458 1
```

Structure and simulated XRD peak list of AlHSO5 (a crystal structure in the Materials Project, relaxed with PBE; copper Kα).

Most intense lines, 2θ from 5° to 70°, in order of rising 2θ:
d_spacing, I_rel
4.683, 43.1
3.627, 10.8
3.233, 17.6
3.180, 73.9
3.130, 100.0
2.547, 18.5
2.256, 8.9
2.006, 9.4
1.769, 11.0
1.580, 10.5
1.565, 17.1
1.561, 13.1

Cell and atoms:
```
data_AlHSO5
_symmetry_space_group_name_H-M 'C 1 2/c 1'
_symmetry_Int_Tables_number 15
_cell_length_a 7.1572
_cell_length_b 7.2549
_cell_length_c 7.0754
_cell_angle_alpha 90.00
_cell_angle_beta 119.00
_cell_angle_gamma 90.00
loop_
_symmetry_equiv_pos_as_xyz
'x,y,z'
'-x,-y,-z'
'-x,y,-z+1/2'
'x,-y,z+1/2'
'x+1/2,y+1/2,z'
'-x+1/2,-y+1/2,-z'
'-x+1/2,y+1/2,-z+1/2'
'x+1/2,-y+1/2,z+1/2'
loop_
_atom_site_label
_atom_site_type_symbol
_atom_site_fract_x
_atom_site_fract_y
_atom_site_fract_z
_atom_site_occupancy
Al1 Al 0.0000 0.0000 0.0000 1
H1 H 0.0000 0.2194 0.2500 1
S1 S 0.0000 0.3691 0.7500 1
O1 O 0.0000 0.0848 0.2500 1
O2 O 0.0095 0.2510 0.5834 1
O3 O 0.1873 0.4920 0.8495 1
```

Structure and simulated XRD peak list of PrGe2Pt2 (a crystal structure in the Materials Project, relaxed with PBE; copper Kα).

Most intense lines, 2θ from 5° to 70°, in order of rising 2θ:
d_spacing, I_rel
5.042, 11.1
3.361, 10.5
3.316, 13.7
2.974, 33.2
2.671, 65.7
2.648, 100.0
2.201, 78.7
1.959, 37.5
1.833, 28.6
1.699, 33.6
1.556, 25.8
1.479, 16.1

Cell and atoms:
```
data_PrGe2Pt2
_symmetry_space_group_name_H-M 'P m n 21'
_symmetry_Int_Tables_number 31
_cell_length_a 4.4065
_cell_length_b 10.0831
_cell_length_c 4.3965
_cell_angle_alpha 90.00
_cell_angle_beta 90.00
_cell_angle_gamma 90.00
loop_
_symmetry_equiv_pos_as_xyz
'x,y,z'
'-x+1/2,-y,z+1/2'
'-x,y,z'
'x+1/2,-y,z+1/2'
loop_
_atom_site_label
_atom_site_type_symbol
_atom_site_fract_x
_atom_site_fract_y
_atom_site_fract_z
_atom_site_occupancy
Pr1 Pr 0.0000 0.2472 0.0000 1
Ge1 Ge 0.0000 0.0004 0.5185 1
Ge2 Ge 0.0000 0.6315 0.9763 1
Pt1 Pt 0.0000 0.5005 0.4745 1
Pt2 Pt 0.0000 0.8767 0.0186 1
```

Structure and simulated XRD peak list of Th2SbSe2 (a crystal structure in the Materials Project, relaxed with PBE; copper Kα).

Most intense lines, 2θ from 5° to 70°, in order of rising 2θ:
d_spacing, I_rel
16.620, 73.4
8.310, 35.0
3.321, 100.0
3.083, 14.6
2.770, 9.2
2.348, 69.0
2.127, 17.4
1.918, 21.8
1.791, 10.3
1.660, 11.7
1.485, 28.0
1.356, 17.3

Cell and atoms:
```
data_Th2SbSe2
_symmetry_space_group_name_H-M 'P 4/m m m'
_symmetry_Int_Tables_number 123
_symmetry_space_group_name_Hall '-P 4 2'
_cell_length_a 3.3199
_cell_length_b 3.3199
_cell_length_c 16.6195
_cell_angle_alpha 90.00
_cell_angle_beta 90.00
_cell_angle_gamma 90.00
loop_
_atom_site_label
_atom_site_type_symbol
_atom_site_fract_x
_atom_site_fract_y
_atom_site_fract_z
_atom_site_occupancy
Th1 Th 0.0000 0.0000 0.1934 1
Sb1 Sb 0.0000 0.0000 0.0000 1
Se1 Se 0.0000 0.0000 0.3576 1
```

Structure and simulated XRD peak list of LiHfS2 (a crystal structure in the Materials Project, relaxed with PBE; copper Kα).

Most intense lines, 2θ from 5° to 70°, in order of rising 2θ:
d_spacing, I_rel
6.543, 100.0
3.034, 22.8
2.931, 60.4
2.603, 19.3
2.419, 48.8
2.071, 28.1
1.917, 10.0
1.773, 19.9
1.711, 18.6
1.654, 12.6
1.517, 8.2
1.430, 9.2

Cell and atoms:
```
data_LiHfS2
_symmetry_space_group_name_H-M 'R 3 m'
_symmetry_Int_Tables_number 160
_symmetry_space_group_name_Hall 'R 3 -2"'
_cell_length_a 3.5464
_cell_length_b 3.5464
_cell_length_c 19.6276
_cell_angle_alpha 90.00
_cell_angle_beta 90.00
_cell_angle_gamma 120.00
loop_
_atom_site_label
_atom_site_type_symbol
_atom_site_fract_x
_atom_site_fract_y
_atom_site_fract_z
_atom_site_occupancy
Li1 Li 0.0000 0.0000 0.0000 1
Hf1 Hf 0.0000 0.0000 0.1696 1
S1 S 0.0000 0.0000 0.5830 1
S2 S 0.0000 0.0000 0.7570 1
```